Entry 1:
For Th7Co3, a crystal structure in the Materials Project, relaxed with PBE gives the computed PXRD pattern in this record (Cu Kα (weighted mean of Kα1 and Kα2)).

Crystal structure
```
Th7Co3
1.0
9.752 0.000 0.000
-4.876 8.445 0.000
0.000 0.000 6.184
Th Co
14 6
Direct
0.088 0.544 0.000
0.126 0.252 0.695
0.126 0.874 0.695
0.252 0.126 0.195
0.333 0.667 0.499
0.456 0.544 0.000
0.456 0.912 0.000
0.544 0.088 0.500
0.544 0.456 0.500
0.667 0.333 0.999
0.748 0.874 0.695
0.874 0.126 0.195
0.874 0.748 0.195
0.912 0.456 0.500
0.185 0.371 0.250
0.185 0.815 0.250
0.371 0.185 0.750
0.629 0.815 0.250
0.815 0.185 0.750
0.815 0.629 0.750
```

Peak list (8 most intense, 10° ≤ 2θ ≤ 90°, in order of rising 2θ)
two_theta	Rel. int.
28.0	22
30.8	41
31.5	100
35.0	36
36.0	29
36.9	21
55.2	24
56.0	27

Entry 2:
For YThCo10, a crystal structure in the Materials Project, relaxed with PBE gives the computed PXRD pattern in this record (Cu Kα (weighted mean of Kα1 and Kα2)).

Crystal structure
```
YThCo10
1.0
3.977 0.000 0.000
0.000 4.914 0.000
0.000 0.000 8.525
Y Th Co
1 1 10
Direct
0.000 0.000 0.000
0.000 0.500 0.500
0.000 0.000 0.334
0.000 0.000 0.666
0.000 0.500 0.168
0.000 0.500 0.832
0.500 0.000 0.500
0.500 0.248 0.247
0.500 0.248 0.753
0.500 0.500 0.000
0.500 0.752 0.247
0.500 0.752 0.753
```

Peak list (8 most intense, 10° ≤ 2θ ≤ 90°, in order of rising 2θ)
two_theta	Rel. int.
10.4	17
30.8	53
36.5	33
42.4	35
43.3	100
45.6	26
64.1	20
70.4	22

Entry 3:
For TiCo4, a crystal structure in the Materials Project, relaxed with PBE gives the computed PXRD pattern in this record (Cu Kα (weighted mean of Kα1 and Kα2)).

Crystal structure
```
TiCo4
1.0
0.000 4.085 4.085
4.085 0.000 4.085
4.085 4.085 0.000
Ti Co
2 8
Direct
0.125 0.125 0.125
0.875 0.875 0.875
0.276 0.276 0.276
0.276 0.276 0.673
0.276 0.673 0.276
0.327 0.724 0.724
0.673 0.276 0.276
0.724 0.327 0.724
0.724 0.724 0.327
0.724 0.724 0.724
```

Peak list (8 most intense, 10° ≤ 2θ ≤ 90°, in order of rising 2θ)
two_theta	Rel. int.
31.0	32
38.2	100
44.4	24
48.6	42
58.7	46
64.5	26
77.5	11
84.7	16

Entry 4:
For Ti2Co, a crystal structure in the Materials Project, relaxed with PBE gives the computed PXRD pattern in this record (Cu Kα (weighted mean of Kα1 and Kα2)).

Crystal structure
```
Ti2Co
1.0
0.000 3.541 3.541
3.541 0.000 3.541
3.541 3.541 0.000
Ti Co
4 2
Direct
0.000 0.000 0.000
0.000 0.000 0.500
0.000 0.500 0.000
0.500 0.000 0.000
0.375 0.375 0.375
0.625 0.625 0.625
```

Peak list (8 most intense, 10° ≤ 2θ ≤ 90°, in order of rising 2θ)
two_theta	Rel. int.
35.9	38
42.3	100
44.3	31
51.6	2
64.5	12
68.9	27
76.0	22
87.0	5